Calculated powder diffractogram
Compound: Co2P3H11N2O9
Radiation: Cu Kα (λ = 1.5418 Å)
Structure: a DFT-relaxed cell (GGA+U, Alexandria)
Lines closer than 0.1° are merged.

Top 10 peaks for 10 to 90 degrees two-theta, in order of falling intensity:
(1 0 5), 2θ 30.1, intensity 100
(1 1 0), 2θ 33.0, intensity 80
(1 0 1), 2θ 19.4, intensity 72
(1 0 4), 2θ 26.6, intensity 70
(2 -1 6), 2θ 43.8, intensity 41
(0 0 4), 2θ 18.6, intensity 32
(2 0 7), 2θ 51.3, intensity 31
(1 0 2), 2θ 21.1, intensity 30
(1 0 7), 2θ 38.1, intensity 24
(3 -1 5), 2θ 57.2, intensity 23

Cell and atoms:
abc: 5.430 5.430 19.117
angles: 90.00 90.00 120.00
Fractional coordinates of all 54 atoms:
1 Co 0.333 0.667 0.000
2 Co 0.333 0.667 0.157
3 Co 0.667 0.333 0.500
4 Co 0.667 0.333 0.657
5 P 0.000 0.000 0.199
6 P 0.000 0.000 0.460
7 P 0.000 0.000 0.699
8 P 0.000 0.000 0.960
9 P 0.333 0.667 0.597
10 P 0.667 0.333 0.097
11 H 0.000 0.000 0.034
12 H 0.000 0.000 0.126
13 H 0.000 0.000 0.534
14 H 0.000 0.000 0.626
15 H 0.156 0.673 0.393
16 H 0.157 0.483 0.774
17 H 0.326 0.843 0.774
18 H 0.327 0.483 0.393
19 H 0.333 0.667 0.319
20 H 0.333 0.667 0.670
21 H 0.333 0.667 0.847
22 H 0.483 0.157 0.274
23 H 0.483 0.327 0.893
24 H 0.517 0.674 0.774
25 H 0.517 0.844 0.393
26 H 0.667 0.333 0.170
27 H 0.667 0.333 0.347
28 H 0.667 0.333 0.819
29 H 0.673 0.156 0.893
30 H 0.674 0.517 0.274
31 H 0.843 0.326 0.274
32 H 0.844 0.517 0.893
33 N 0.333 0.667 0.373
34 N 0.333 0.667 0.794
35 N 0.667 0.333 0.294
36 N 0.667 0.333 0.873
37 O 0.014 0.506 0.577
38 O 0.116 0.311 0.223
39 O 0.117 0.807 0.936
40 O 0.193 0.310 0.936
41 O 0.195 0.884 0.223
42 O 0.310 0.193 0.436
43 O 0.311 0.116 0.723
44 O 0.492 0.986 0.577
45 O 0.494 0.508 0.577
46 O 0.506 0.014 0.077
47 O 0.508 0.494 0.077
48 O 0.689 0.805 0.223
49 O 0.690 0.883 0.936
50 O 0.805 0.689 0.723
51 O 0.807 0.117 0.436
52 O 0.883 0.690 0.436
53 O 0.884 0.195 0.723
54 O 0.986 0.492 0.077